Starting from a crystal structure in Alexandria, relaxed with PBE, the powder XRD pattern of Pr3TlNi was simulated for Cu Kα X-rays.
Lines closer than 0.1° are merged.

Principal peaks in the range 15° ≤ 2θ ≤ 90°, by angle:
2θ 26.1, I = 159
2θ 31.0, I = 1000
2θ 33.0, I = 158
2θ 42.6, I = 207
2θ 46.1, I = 251
2θ 56.6, I = 161
2θ 57.7, I = 173
2θ 57.9, I = 165
2θ 75.9, I = 113
2θ 87.3, I = 83

Atomic structure:
Cell lengths 7.876, 7.876, 5.426 Å; angles 90.00, 90.00, 120.00 degrees
Atoms (fractional coordinates):
Pr (0.182, 0.363, 0.250)
Pr (0.182, 0.818, 0.250)
Pr (0.363, 0.182, 0.750)
Pr (0.637, 0.818, 0.250)
Pr (0.818, 0.182, 0.750)
Pr (0.818, 0.637, 0.750)
Tl (0.333, 0.667, 0.750)
Tl (0.667, 0.333, 0.250)
Ni (0.000, 0.000, 0.000)
Ni (0.000, 0.000, 0.500)